1.
# Pr2NdSn3Pt3
Calculated X-ray diffraction stick pattern, CuKα. Input: a structure optimized by DFT (PBE).

Top 12 peaks for 15 to 90 degrees two-theta, low angle first:
- 2θ = 23.2°, I = 17
- 2θ = 31.8°, I = 70
- 2θ = 34.6°, I = 100
- 2θ = 35.8°, I = 33
- 2θ = 40.8°, I = 41
- 2θ = 42.1°, I = 42
- 2θ = 43.7°, I = 27
- 2θ = 57.7°, I = 17
- 2θ = 61.3°, I = 25
- 2θ = 65.2°, I = 32
- 2θ = 74.3°, I = 11
- 2θ = 80.9°, I = 12

Crystal structure
```
9
Lattice="4.147 0.000 0.000 0.000 6.641 3.835 0.000 -6.641 3.835" Properties=species:S:1:pos:R:3 pbc="T T T"
Pr 0.000 -3.906 3.835
Pr 0.000 3.906 3.835
Nd 0.000 0.000 4.735
Sn 2.073 -1.668 2.548
Sn 2.073 1.668 2.548
Sn 2.073 0.000 7.317
Pt 0.000 0.000 1.588
Pt 2.073 -2.201 5.412
Pt 2.073 2.201 5.412
```

---

2.
# Na4PdO3
Calculated X-ray diffraction stick pattern, CuKα. Input: a structure optimized by DFT (PBE).

Top 12 peaks for 15 to 90 degrees two-theta, low angle first:
- 2θ = 17.2°, I = 48
- 2θ = 17.9°, I = 75
- 2θ = 19.6°, I = 61
- 2θ = 23.3°, I = 38
- 2θ = 23.4°, I = 75
- 2θ = 23.9°, I = 37
- 2θ = 27.1°, I = 52
- 2θ = 33.8°, I = 70
- 2θ = 35.9°, I = 100
- 2θ = 36.4°, I = 74
- 2θ = 37.4°, I = 69
- 2θ = 46.9°, I = 42

Crystal structure
```
16
Lattice="5.592 -2.832 0.000 5.592 2.832 0.000 -3.117 0.000 7.450" Properties=species:S:1:pos:R:3 pbc="T T T"
Na 4.034 2.057 3.725
Na 5.070 1.634 6.749
Na 6.161 0.819 1.331
Na 6.867 1.016 4.232
Na 4.602 -0.819 5.056
Na 5.592 -2.057 0.000
Na 8.425 -1.016 0.507
Na 6.629 -1.634 3.024
Pd 1.793 0.696 5.979
Pd 3.351 -0.696 2.254
O 0.149 0.102 4.925
O 1.707 -0.102 1.200
O 4.981 0.084 3.043
O 3.422 -0.084 6.768
O 8.142 0.297 2.390
O 6.583 -0.297 6.115
```

---

3.
# Os2Pd2Au
Calculated X-ray diffraction stick pattern, CuKα. Input: a structure optimized by DFT (PBE).

Top 12 peaks for 15 to 90 degrees two-theta, low angle first:
- 2θ = 21.9°, I = 11
- 2θ = 32.1°, I = 12
- 2θ = 38.7°, I = 29
- 2θ = 39.8°, I = 100
- 2θ = 42.2°, I = 30
- 2θ = 42.3°, I = 33
- 2θ = 52.4°, I = 9
- 2θ = 60.6°, I = 10
- 2θ = 62.1°, I = 10
- 2θ = 70.4°, I = 9
- 2θ = 75.7°, I = 11
- 2θ = 76.3°, I = 10

Crystal structure
```
10
Lattice="2.135 -6.686 0.000 2.135 6.686 0.000 -0.159 0.000 5.569" Properties=species:S:1:pos:R:3 pbc="T T T"
Os 2.135 3.968 0.000
Os 2.124 3.969 2.474
Os 2.135 -3.968 0.000
Os 2.124 -3.969 2.474
Pd 2.051 1.628 4.017
Pd 2.127 1.370 1.236
Pd 2.127 -1.370 1.236
Pd 2.051 -1.628 4.017
Au -0.141 0.000 5.368
Au -0.030 0.000 2.654
```

---

4.
# Gd3Tl5Pb2
Calculated X-ray diffraction stick pattern, CuKα. Input: a structure optimized by DFT (PBE).

Top 12 peaks for 15 to 90 degrees two-theta, low angle first:
- 2θ = 32.3°, I = 100
- 2θ = 36.3°, I = 17
- 2θ = 37.7°, I = 17
- 2θ = 38.3°, I = 16
- 2θ = 53.3°, I = 11
- 2θ = 53.8°, I = 11
- 2θ = 54.9°, I = 12
- 2θ = 62.8°, I = 12
- 2θ = 64.7°, I = 14
- 2θ = 65.5°, I = 13
- 2θ = 67.6°, I = 11
- 2θ = 87.7°, I = 5

Crystal structure
```
10
Lattice="2.348 -12.375 0.000 2.348 12.375 0.000 0.000 0.000 4.772" Properties=species:S:1:pos:R:3 pbc="T T T"
Gd 0.000 0.000 0.000
Gd 2.348 7.662 0.000
Gd 2.348 -7.662 0.000
Tl 2.348 9.917 2.386
Tl 2.348 5.119 2.386
Tl 2.348 0.000 2.386
Tl 2.348 -5.119 2.386
Tl 2.348 -9.917 2.386
Pb 2.348 2.419 0.000
Pb 2.348 -2.419 0.000
```

---

5.
# H8WS4N2
Calculated X-ray diffraction stick pattern, CuKα. Input: a structure optimized by DFT (PBE).

Top 12 peaks for 15 to 90 degrees two-theta, low angle first:
- 2θ = 17.2°, I = 41
- 2θ = 17.3°, I = 100
- 2θ = 18.5°, I = 26
- 2θ = 23.6°, I = 11
- 2θ = 25.3°, I = 23
- 2θ = 25.6°, I = 15
- 2θ = 31.5°, I = 14
- 2θ = 31.7°, I = 33
- 2θ = 35.0°, I = 11
- 2θ = 40.3°, I = 12
- 2θ = 40.6°, I = 13
- 2θ = 46.0°, I = 11

Crystal structure
```
60
Lattice="9.586 0.000 0.000 0.000 6.973 0.000 0.000 0.000 12.260" Properties=species:S:1:pos:R:3 pbc="T T T"
H 0.091 1.743 2.953
H 0.318 5.229 10.942
H 0.686 5.229 4.244
H 1.067 0.899 1.864
H 1.067 2.587 1.864
H 1.631 4.378 5.358
H 1.631 6.081 5.358
H 2.375 5.229 4.097
H 2.419 1.743 10.227
H 3.162 0.892 11.488
H 3.162 2.594 11.488
H 3.726 4.386 7.994
H 3.726 6.073 7.994
H 4.107 1.743 10.374
H 4.475 1.743 4.812
H 4.702 5.229 9.083
H 4.884 1.743 3.176
H 5.111 5.229 7.448
H 5.479 5.229 1.886
H 5.860 0.899 4.266
H 5.860 2.587 4.266
H 6.424 4.378 0.772
H 6.424 6.081 0.772
H 7.168 5.229 2.033
H 7.212 1.743 8.163
H 7.955 0.892 6.901
H 7.955 2.594 6.901
H 8.519 4.386 10.396
H 8.519 6.073 10.396
H 8.900 1.743 8.015
H 9.268 1.743 1.318
H 9.496 5.229 9.306
W 2.390 1.743 7.004
W 2.403 5.229 0.874
W 7.183 1.743 11.386
W 7.196 5.229 5.256
S 0.251 5.229 1.362
S 1.429 3.527 7.862
S 1.429 6.932 7.862
S 2.104 1.743 4.822
S 2.689 5.229 10.952
S 3.364 0.041 1.733
S 3.364 3.446 1.733
S 4.542 1.743 7.492
S 5.044 5.229 4.768
S 6.222 3.527 10.527
S 6.222 6.932 10.527
S 6.898 1.743 1.308
S 7.482 5.229 7.438
S 8.157 0.041 4.397
S 8.157 3.446 4.397
S 9.335 1.743 10.898
N 0.475 1.743 1.996
N 1.584 5.229 4.763
N 3.209 1.743 10.893
N 4.318 5.229 8.126
N 5.268 1.743 4.134
N 6.377 5.229 1.367
N 8.002 1.743 7.497
N 9.111 5.229 10.264
```

---

6.
# Li4Zn2CuPt
Calculated X-ray diffraction stick pattern, CuKα. Input: a structure optimized by DFT (PBE).

Top 12 peaks for 15 to 90 degrees two-theta, low angle first:
- 2θ = 21.0°, I = 15
- 2θ = 25.8°, I = 100
- 2θ = 29.8°, I = 9
- 2θ = 33.5°, I = 10
- 2θ = 36.8°, I = 7
- 2θ = 42.7°, I = 87
- 2θ = 45.4°, I = 5
- 2θ = 50.6°, I = 47
- 2θ = 62.0°, I = 14
- 2θ = 68.3°, I = 19
- 2θ = 78.2°, I = 28
- 2θ = 84.0°, I = 14

Crystal structure
```
8
Lattice="4.234 0.000 0.000 0.000 4.234 0.000 0.000 0.000 5.991" Properties=species:S:1:pos:R:3 pbc="T T T"
Li 0.000 0.000 0.000
Li 0.000 2.117 1.493
Li 2.117 0.000 4.497
Li 2.117 2.117 2.995
Zn 0.000 2.117 4.499
Zn 2.117 0.000 1.492
Cu 2.117 2.117 0.000
Pt 0.000 0.000 2.995
```